For Rb2RuSF6, DFT lattice parameters and positions (GGA-PBE) gives the calculated X-ray powder pattern in this record (Cu Kα).
Kinematic intensities with the Lorentz-polarization factor, no thermal factor.

Principal peaks in the range 10 to 90 degrees two-theta, sorted by position:
h k l  2theta  I (rel.)
1 0 1  16.3  40
1 1 2  26.4  100
2 0 0  27.6  43
0 0 4  36.0  21
2 2 0  39.4  36
2 0 4  45.9  17
3 1 2  48.0  34
2 2 4  54.4  22

Atomic structure:
a b c (Å): 6.475 6.475 9.985
angles (deg): 90.00 90.00 90.00
Space group I4/mmm (No. 139)
Unique sites:
Rb: 0.000 0.500 0.250 (multiplicity 4)
Ru: 0.000 0.000 0.000 (multiplicity 2)
S: 0.000 0.000 0.500 (multiplicity 2)
F: 0.000 0.000 0.195 (multiplicity 4)
F: 0.215 0.215 0.000 (multiplicity 8)